Record 1
For MgV2P2O10, the PBE+U geometry in the Materials Project gives the calculated powder X-ray diffraction pattern in this record (Cu Kα (weighted mean of Kα1 and Kα2)).
Intensities are scaled so that the largest is 100.

The 8 most intense peaks (10 to 90 degrees two-theta), sorted by position:
2θ = 22.7°, intensity 17; 2θ = 23.2°, intensity 100; 2θ = 27.0°, intensity 25; 2θ = 27.2°, intensity 38; 2θ = 28.0°, intensity 41; 2θ = 28.1°, intensity 40; 2θ = 46.1°, intensity 15; 2θ = 46.4°, intensity 16

Crystal structure
```
data_MgV2P2O10
_cell_length_a 4.9096
_cell_length_b 6.3456
_cell_length_c 6.3764
_cell_angle_alpha 88.31
_cell_angle_beta 88.35
_cell_angle_gamma 88.88
_space_group_name_H-M_alt 'P -1'
_space_group_IT_number 2
_space_group_name_Hall '-P 1'
loop_
_atom_site_label
_atom_site_type_symbol
_atom_site_fract_x
_atom_site_fract_y
_atom_site_fract_z
Mg1 Mg 0.0000 0.0000 0.0000
V1 V 0.2456 0.2547 0.2601
P1 P 0.4958 0.2496 0.7505
O1 O 0.0895 0.7661 0.7594
O2 O 0.2833 0.2339 0.9363
O3 O 0.2909 0.9336 0.2216
O4 O 0.3432 0.2202 0.5486
O5 O 0.3526 0.5435 0.2425
```

Record 2
For MgV4P2O13, the PBE+U geometry in the Materials Project gives the calculated powder X-ray diffraction pattern in this record (Cu Kα (weighted mean of Kα1 and Kα2)).
Intensities are scaled so that the largest is 100.

The 8 most intense peaks (10 to 90 degrees two-theta), sorted by position:
2θ = 23.3°, intensity 24; 2θ = 23.5°, intensity 29; 2θ = 26.0°, intensity 84; 2θ = 26.2°, intensity 100; 2θ = 27.6°, intensity 89; 2θ = 28.2°, intensity 86; 2θ = 46.5°, intensity 26; 2θ = 53.8°, intensity 32

Crystal structure
```
data_MgV4P2O13
_cell_length_a 5.0107
_cell_length_b 5.2641
_cell_length_c 10.1034
_cell_angle_alpha 76.99
_cell_angle_beta 79.10
_cell_angle_gamma 83.19
_space_group_name_H-M_alt 'P 1'
_space_group_IT_number 1
_space_group_name_Hall 'P 1'
loop_
_atom_site_label
_atom_site_type_symbol
_atom_site_fract_x
_atom_site_fract_y
_atom_site_fract_z
Mg1 Mg 0.0000 0.0000 0.0000
V1 V 0.0233 0.5352 0.8613
V2 V 0.4307 0.9936 0.5060
V3 V 0.6437 0.2759 0.2164
V4 V 0.8152 0.3948 0.5588
P1 P 0.1981 0.7689 0.2865
P2 P 0.4934 0.9936 0.8307
O1 O 0.0691 0.6313 0.4287
O2 O 0.1004 0.1085 0.5535
O3 O 0.2917 0.7748 0.8720
O4 O 0.3318 0.2147 0.8981
O5 O 0.3760 0.5815 0.2017
O6 O 0.3852 0.9752 0.3079
O7 O 0.5366 0.6442 0.5531
O8 O 0.5657 0.0854 0.6720
O9 O 0.6829 0.2388 0.4068
O10 O 0.7561 0.8877 0.8912
O11 O 0.8296 0.3496 0.0311
O12 O 0.9166 0.4587 0.7172
O13 O 0.9800 0.9174 0.2004
```

Record 3
For MgV2P2O8, the PBE+U geometry in the Materials Project gives the calculated powder X-ray diffraction pattern in this record (Cu Kα (weighted mean of Kα1 and Kα2)).
Intensities are scaled so that the largest is 100.

The 8 most intense peaks (10 to 90 degrees two-theta), sorted by position:
2θ = 11.3°, intensity 56; 2θ = 19.5°, intensity 60; 2θ = 24.4°, intensity 44; 2θ = 28.4°, intensity 100; 2θ = 32.1°, intensity 83; 2θ = 33.3°, intensity 75; 2θ = 35.6°, intensity 49; 2θ = 37.5°, intensity 68

Crystal structure
```
data_MgV2P2O8
_cell_length_a 16.3321
_cell_length_b 4.7954
_cell_length_c 17.5762
_cell_angle_alpha 90.00
_cell_angle_beta 116.54
_cell_angle_gamma 90.00
_space_group_name_H-M_alt 'C 1 2/c 1'
_space_group_IT_number 15
_space_group_name_Hall '-C 2yc'
loop_
_atom_site_label
_atom_site_type_symbol
_atom_site_fract_x
_atom_site_fract_y
_atom_site_fract_z
Mg1 Mg 0.1682 0.1638 0.1625
V1 V 0.0000 0.1637 0.2500
V2 V 0.0900 0.2177 0.4647
V3 V 0.2500 0.2500 0.0000
P1 P 0.0218 0.2956 0.6191
P2 P 0.2213 0.2133 0.3664
O1 O 0.0429 0.3822 0.1294
O2 O 0.0524 0.1580 0.7055
O3 O 0.0770 0.1481 0.5779
O4 O 0.0833 0.2716 0.9442
O5 O 0.1230 0.2165 0.3581
O6 O 0.2222 0.1010 0.5545
O7 O 0.2268 0.3341 0.2871
O8 O 0.2371 0.4152 0.1129
```

Number 3 is which compound? MgV2P2O8